K2SrCo3F12: simulated powder XRD pattern (Cu Kα, 1.54184 Å), based on a PBE+U-relaxed structure.
Peak positions follow from Bragg's law for the DFT cell and can differ from measured ones.

Largest 10 diffraction maxima, by angle, 10 to 90 degrees two-theta:
- 14.55 deg, rel. 100.0, (1 0 1)
- 27.75 deg, rel. 57.6, (0 2 1)
- 28.68 deg, rel. 88.6, (1 1 3)
- 29.34 deg, rel. 62.9, (2 0 2)
- 30.46 deg, rel. 25.6, (0 1 5)
- 32.74 deg, rel. 21.9, (0 0 6)
- 44.65 deg, rel. 37.3, (0 3 3)
- 48.07 deg, rel. 64.6, (2 2 0)
- 52.63 deg, rel. 24.5, (2 0 8)
- 63.38 deg, rel. 21.7, (0 2 10)

Crystal structure
abc: 7.5706 7.5706 16.4114
angles: 90.00 90.00 120.00
Space group R-3m (No. 166, hexagonal axes)
Asymmetric unit:
K 0.0000 0.0000 0.1140 [6 per cell]
Sr 0.0000 0.0000 0.5000 [3 per cell]
Co 0.0000 0.5000 0.0000 [9 per cell]
F 0.0349 0.5175 0.8870 [18 per cell]
F 0.0826 0.5413 0.3140 [18 per cell]